Structure and computed powder diffraction line list of Cd3HgPb6 (DFT lattice parameters and positions (GGA-PBE); a wavelength of 1.5418 Å).
Neutral-atom scattering factors, no anomalous dispersion.

Structural model:
```
data_Cd3HgPb6
_cell_length_a 10.8723
_cell_length_b 10.8723
_cell_length_c 6.3540
_cell_angle_alpha 90.00
_cell_angle_beta 90.00
_cell_angle_gamma 128.80
_symmetry_space_group_name_H-M 'P 1'
_symmetry_Int_Tables_number 1
_symmetry_space_group_name_Hall 'P 1'
loop_
_atom_site_label
_atom_site_fract_x
_atom_site_fract_y
_atom_site_fract_z
_atom_site_occupancy
Cd1 0.1077 0.8923 0.5000 1
Cd2 0.2005 0.4464 0.7475 1
Cd3 0.4464 0.2005 0.2475 1
Cd4 0.5536 0.7995 0.7475 1
Cd5 0.7995 0.5536 0.2475 1
Cd6 0.8923 0.1077 0.0000 1
Hg1 0.2600 0.7400 0.5889 1
Hg2 0.7400 0.2600 0.0889 1
Pb1 0.1097 0.4881 0.2093 1
Pb2 0.1522 0.2147 0.3871 1
Pb3 0.1741 0.8259 0.0388 1
Pb4 0.2147 0.1522 0.8871 1
Pb5 0.4606 0.5394 0.1300 1
Pb6 0.4881 0.1097 0.7093 1
Pb7 0.5119 0.8903 0.2093 1
Pb8 0.5394 0.4606 0.6300 1
Pb9 0.7853 0.8478 0.3871 1
Pb10 0.8259 0.1741 0.5388 1
Pb11 0.8478 0.7853 0.8871 1
Pb12 0.8903 0.5119 0.7093 1
```

Top 10 peaks for 10 to 80 degrees two-theta, in order of falling intensity:
2theta, d/Å, I (rel.)
31.68, 2.824, 100
29.86, 2.992, 99
36.33, 2.473, 98
30.76, 2.906, 69
34.07, 2.632, 58
34.76, 2.581, 49
30.04, 2.975, 40
61.14, 1.516, 36
62.46, 1.487, 35
35.31, 2.542, 32